No. 1
The following is a theoretical powder X-ray diffraction pattern of HoLu2Hg. It was derived from the GGA-PBE geometry in OQMD, using λ = 1.5418 Å (Cu Kα).

Structure:
```
data_HoLu2Hg
_space_group_name_H-M_alt 'A m a 2'
_space_group_IT_number 40
_cell_length_a 5.543
_cell_length_b 11.238
_cell_length_c 6.958
_cell_angle_alpha 90.00
_cell_angle_beta 90.00
_cell_angle_gamma 90.00
loop_
_space_group_symop_operation_xyz
'x,y,z'
'-x,-y,z'
'-x+1/2,y,z'
'x+1/2,-y,z'
'x,y+1/2,z+1/2'
'-x,-y+1/2,z+1/2'
'-x+1/2,y+1/2,z+1/2'
'x+1/2,-y+1/2,z+1/2'
loop_
_atom_site_label
_atom_site_type_symbol
_atom_site_fract_x
_atom_site_fract_y
_atom_site_fract_z
Ho1 Ho 0.250 0.120 0.000
Lu1 Lu 0.250 0.161 0.517
Lu2 Lu 0.250 0.404 0.794
Hg1 Hg 0.250 0.373 0.251
```

Largest 10 diffraction maxima, in order of rising 2θ, 2θ from 10° to 80°:
d (Å)  Position (°2θ)  I/Imax
2.834  31.56  7
2.809  31.85  25
2.771  32.30  34
2.610  34.37  100
1.973  46.00  19
1.739  52.61  7
1.581  58.38  11
1.567  58.94  22
1.473  63.10  8
1.305  72.43  9

No. 2
The following is a theoretical powder X-ray diffraction pattern of ErTlP2Se6. It was derived from the GGA-PBE geometry in OQMD, using λ = 1.5418 Å (Cu Kα).

Structure:
```
data_ErTlP2Se6
_space_group_name_H-M_alt 'P 1 21 1'
_space_group_IT_number 4
_cell_length_a 6.821
_cell_length_b 7.594
_cell_length_c 10.504
_cell_angle_alpha 90.00
_cell_angle_beta 91.49
_cell_angle_gamma 90.00
loop_
_space_group_symop_operation_xyz
'x,y,z'
'-x,y+1/2,-z'
loop_
_atom_site_label
_atom_site_type_symbol
_atom_site_fract_x
_atom_site_fract_y
_atom_site_fract_z
Er1 Er 0.216 0.000 0.002
Tl1 Tl 0.319 0.777 0.508
P1 P 0.190 0.269 0.290
P2 P 0.316 0.488 0.171
Se1 Se 0.068 0.691 0.836
Se2 Se 0.076 0.689 0.164
Se3 Se 0.152 0.363 0.481
Se4 Se 0.376 0.359 0.983
Se5 Se 0.399 0.053 0.264
Se6 Se 0.404 0.084 0.748
```

Largest 10 diffraction maxima, in order of rising 2θ, 2θ from 10° to 80°:
d (Å)  Position (°2θ)  I/Imax
5.250  16.89  62
3.571  24.94  97
3.077  29.02  96
3.002  29.77  68
2.963  30.16  100
2.907  30.75  63
2.823  31.70  75
2.625  34.16  66
2.574  34.86  72
2.477  36.26  62